# 1
Rb6Bi3I14: computed XRD peak list (λ = 1.5418 Å (Cu Kα)), based on a crystal structure in Alexandria, relaxed with PBE.

Atomic structure:
```
Rb6Bi3I14
1.0
13.8739 0.0000 0.0000
-6.9370 12.0152 0.0000
0.0000 0.0000 6.9606
Rb Bi I
6 3 14
Cartesian
-3.4753 6.6947 0.0000
3.4777 1.2837 3.4871
2.8768 5.6581 0.0000
0.5985 11.6775 0.0000
6.3099 8.3616 3.4871
11.0234 2.3699 3.4871
0.0000 0.0000 6.0024
0.0000 8.0101 2.5166
6.9370 4.0051 1.7806
0.0000 0.0000 2.3301
-4.6915 10.0779 5.5696
0.5550 2.9132 5.5696
-0.4834 5.0866 2.0870
-2.2901 9.8905 2.0870
0.0000 8.0101 5.7917
4.8611 2.3532 0.1209
4.4547 4.9589 3.4284
2.7735 9.0532 2.0870
7.3520 1.3784 3.4284
6.5443 6.6287 0.1209
4.1365 11.0392 5.5696
9.4054 3.0333 0.1209
9.0042 5.6778 3.4284
```

Top 10 peaks for 10 to 90 degrees two-theta, low angle first:
Position (°2θ)  Rel. int.  (hkl)
12.76  46  1 1 0
14.71  32  1 0 1
23.39  35  2 1 1
25.66  100  2 2 0
26.70  41  0 1 2
28.71  27  1 1 2
29.70  54  3 1 1
32.44  34  4 0 1
34.17  38  4 1 0
43.20  26  5 -4 2

=====

# 2
BiRu2RhI: computed XRD peak list (λ = 1.5418 Å (Cu Kα)), based on a crystal structure in Alexandria, relaxed with PBE.

Atomic structure:
```
BiRu2RhI
1.0
5.0243 0.0000 0.0000
0.0000 5.0243 0.0000
0.0000 0.0000 6.1525
Bi Ru Rh I
1 2 1 1
Cartesian
0.0000 0.0000 0.0000
0.0000 2.5121 0.0000
2.5121 0.0000 0.0000
2.5121 2.5121 3.0763
0.0000 0.0000 3.0763
```

Top 10 peaks for 10 to 90 degrees two-theta, low angle first:
Position (°2θ)  Rel. int.  (hkl)
14.40  26  0 0 1
17.65  51  1 0 0
22.85  39  1 0 1
29.03  100  0 0 2
35.74  75  2 0 0
38.72  25  1 1 2
46.68  71  2 0 2
51.44  33  2 2 0
60.15  49  2 2 2
83.05  30  4 0 2